For BiP2O7, the PBE geometry in the Materials Project gives the simulated X-ray powder pattern in this record (CuKα).
Intensities are scaled so that the largest is 100.

Structure:
Cell lengths 7.759, 9.585, 9.825 Å; angles 90.00, 113.23, 90.00 degrees
Fractional positions:
Bi: 0.181 0.067 0.317
Bi: 0.181 0.433 0.817
Bi: 0.819 0.567 0.183
Bi: 0.819 0.933 0.683
P: 0.039 0.718 0.968
P: 0.039 0.782 0.468
P: 0.416 0.739 0.232
P: 0.416 0.761 0.732
P: 0.584 0.239 0.268
P: 0.584 0.261 0.768
P: 0.961 0.218 0.532
P: 0.961 0.282 0.032
O: 0.008 0.097 0.642
O: 0.008 0.403 0.142
O: 0.028 0.636 0.395
O: 0.028 0.864 0.895
O: 0.077 0.222 0.437
O: 0.077 0.278 0.937
O: 0.257 0.697 0.071
O: 0.257 0.803 0.571
O: 0.376 0.614 0.773
O: 0.376 0.886 0.273
O: 0.401 0.228 0.289
O: 0.401 0.272 0.789
O: 0.407 0.637 0.349
O: 0.407 0.863 0.849
O: 0.593 0.137 0.151
O: 0.593 0.363 0.651
O: 0.599 0.728 0.211
O: 0.599 0.772 0.711
O: 0.624 0.114 0.727
O: 0.624 0.386 0.227
O: 0.743 0.197 0.429
O: 0.743 0.303 0.929
O: 0.923 0.722 0.063
O: 0.923 0.778 0.563
O: 0.972 0.136 0.105
O: 0.972 0.364 0.605
O: 0.992 0.597 0.858
O: 0.992 0.903 0.358

The 10 most intense peaks (2θ from 10° to 90°), in order of rising 2θ:
| two_theta | d (Å) | I/Imax |
| --- | --- | --- |
| 12.41 | 7.131 | 37 |
| 13.47 | 6.572 | 48 |
| 15.49 | 5.720 | 62 |
| 20.85 | 4.261 | 100 |
| 20.99 | 4.233 | 52 |
| 24.76 | 3.596 | 47 |
| 26.41 | 3.375 | 57 |
| 26.68 | 3.341 | 43 |
| 27.20 | 3.279 | 34 |
| 37.82 | 2.379 | 59 |